Diffraction record for Mg3AgHg4. The powder XRD pattern is calculated, not measured: it uses a cell relaxed with GGA-PBE and Cu Ka.
Intensities are scaled so that the largest is 100.

Cell and atoms:
Cell: 10.180 6.491 5.094 Å, 90.00 90.00 90.00°
Space group Pmma (No. 51)
Asymmetric unit:
Mg  0.000  0.000  0.000 x2
Mg  0.250  0.000  0.444 x2
Mg  0.250  0.500  0.431 x2
Ag  0.000  0.500  0.000 x2
Hg  0.000  0.248  0.500 x4
Hg  0.250  0.249  0.941 x4

Peak list (6 most intense, 2θ = 15–90°, sorted by position)
h k l  2θ/deg  d [Å]  I/Imax
2 0 1  24.7  3.601  53
0 2 0  27.5  3.246  22
4 0 0  35.3  2.546  55
2 2 1  37.3  2.411  100
4 2 0  45.3  2.003  21
6 2 1  64.6  1.442  32